1.
This entry pairs a crystal structure of RbBe2B3O7 with its simulated powder diffractogram. Radiation: Cu Kα (weighted mean of Kα1 and Kα2). Structure: a structure optimized by DFT (PBE).

Atomic structure:
abc: 7.7606 17.9322 4.4348
angles: 90.00 90.00 90.00
Sites, in units of the cell vectors:
1 Rb 0.0000 0.1423 0.0000
2 Rb 0.0000 0.6497 0.4774
3 Rb 0.5000 0.3503 0.9774
4 Rb 0.5000 0.8577 0.5000
5 Be 0.1755 0.4631 0.4101
6 Be 0.1870 0.9595 0.9832
7 Be 0.3130 0.0405 0.4832
8 Be 0.3245 0.5369 0.9101
9 Be 0.6755 0.5369 0.9101
10 Be 0.6870 0.0405 0.4832
11 Be 0.8130 0.9595 0.9832
12 Be 0.8245 0.4631 0.4101
13 B 0.0000 0.4914 0.9136
14 B 0.0000 0.9811 0.4848
15 B 0.1581 0.8177 0.0700
16 B 0.1644 0.3063 0.4785
17 B 0.3356 0.6937 0.9785
18 B 0.3419 0.1823 0.5700
19 B 0.5000 0.0189 0.9848
20 B 0.5000 0.5086 0.4136
21 B 0.6581 0.1823 0.5700
22 B 0.6644 0.6937 0.9785
23 B 0.8356 0.3063 0.4785
24 B 0.8419 0.8177 0.0700
25 O 0.0000 0.2748 0.5099
26 O 0.0000 0.4898 0.2247
27 O 0.0000 0.8321 0.2123
28 O 0.0000 0.9738 0.7963
29 O 0.1548 0.4938 0.7598
30 O 0.1562 0.9879 0.3338
31 O 0.1980 0.7421 0.0416
32 O 0.2042 0.3759 0.4023
33 O 0.2439 0.1257 0.4733
34 O 0.2561 0.8743 0.9733
35 O 0.2958 0.6241 0.9023
36 O 0.3020 0.2579 0.5416
37 O 0.3438 0.0121 0.8338
38 O 0.3452 0.5062 0.2598
39 O 0.5000 0.0262 0.2963
40 O 0.5000 0.1679 0.7123
41 O 0.5000 0.5102 0.7247
42 O 0.5000 0.7252 0.0099
43 O 0.6548 0.5062 0.2598
44 O 0.6562 0.0121 0.8338
45 O 0.6980 0.2579 0.5416
46 O 0.7042 0.6241 0.9023
47 O 0.7439 0.8743 0.9733
48 O 0.7561 0.1257 0.4733
49 O 0.7958 0.3759 0.4023
50 O 0.8020 0.7421 0.0416
51 O 0.8438 0.9879 0.3338
52 O 0.8452 0.4938 0.7598

Most intense lines, 2θ from 5° to 70°, by intensity:
- d 3.237, 2θ 27.56, intensity 100
- d 2.882, 2θ 31.03, intensity 69
- d 2.789, 2θ 32.09, intensity 49
- d 5.868, 2θ 15.10, intensity 47
- d 3.765, 2θ 23.63, intensity 38
- d 2.265, 2θ 39.81, intensity 31
- d 2.989, 2θ 29.90, intensity 24
- d 3.881, 2θ 22.91, intensity 23
- d 2.485, 2θ 36.14, intensity 21
- d 2.217, 2θ 40.69, intensity 21

2.
This entry pairs a crystal structure of SrBeB2O5 with its simulated powder diffractogram. Radiation: Cu Kα (weighted mean of Kα1 and Kα2). Structure: a structure optimized by DFT (PBE).

Atomic structure:
abc: 5.2756 3.8885 17.7448
angles: 90.00 99.48 90.00
Sites, in units of the cell vectors:
1 Sr 0.2159 0.1469 0.4283
2 Sr 0.2159 0.3531 0.9283
3 Sr 0.7841 0.6469 0.0717
4 Sr 0.7841 0.8531 0.5717
5 Be 0.1080 0.2368 0.7137
6 Be 0.1080 0.2632 0.2137
7 Be 0.8920 0.7368 0.7863
8 Be 0.8920 0.7632 0.2863
9 B 0.2976 0.0116 0.0994
10 B 0.2976 0.4884 0.5994
11 B 0.4029 0.7213 0.7856
12 B 0.4029 0.7787 0.2856
13 B 0.5971 0.2213 0.7144
14 B 0.5971 0.2787 0.2144
15 B 0.7024 0.5116 0.4006
16 B 0.7024 0.9884 0.9006
17 O 0.0817 0.1168 0.1274
18 O 0.0817 0.3832 0.6274
19 O 0.1591 0.5334 0.7796
20 O 0.1591 0.9666 0.2796
21 O 0.2829 0.6940 0.5363
22 O 0.2829 0.8060 0.0363
23 O 0.3747 0.5011 0.2263
24 O 0.3747 0.9989 0.7263
25 O 0.4591 0.6291 0.3646
26 O 0.4591 0.8709 0.8646
27 O 0.5409 0.1291 0.1354
28 O 0.5409 0.3709 0.6354
29 O 0.6253 0.0011 0.2737
30 O 0.6253 0.4989 0.7737
31 O 0.7171 0.1940 0.9637
32 O 0.7171 0.3060 0.4637
33 O 0.8409 0.0334 0.7204
34 O 0.8409 0.4666 0.2204
35 O 0.9183 0.6168 0.3726
36 O 0.9183 0.8832 0.8726

Most intense lines, 2θ from 5° to 70°, by intensity:
- d 2.907, 2θ 30.76, intensity 100
- d 4.180, 2θ 21.25, intensity 51
- d 2.917, 2θ 30.65, intensity 49
- d 3.659, 2θ 24.33, intensity 43
- d 2.034, 2θ 44.55, intensity 43
- d 2.103, 2θ 43.01, intensity 40
- d 3.116, 2θ 28.65, intensity 38
- d 2.183, 2θ 41.37, intensity 37
- d 1.844, 2θ 49.43, intensity 37
- d 2.868, 2θ 31.19, intensity 37

3.
This entry pairs a crystal structure of BeBPt2 with its simulated powder diffractogram. Radiation: Cu Kα (weighted mean of Kα1 and Kα2). Structure: a structure optimized by DFT (PBE).

Atomic structure:
abc: 9.1448 9.1448 9.1448
angles: 126.72 117.82 86.30
Sites, in units of the cell vectors:
1 Be 0.0000 0.0000 0.0000
2 B 0.0000 0.5000 0.5000
3 Pt 0.0000 0.2709 0.2709
4 Pt 0.0000 0.7291 0.7291

Most intense lines, 2θ from 5° to 70°, by intensity:
- d 7.709, 2θ 11.48, intensity 100
- d 6.672, 2θ 13.27, intensity 37
- d 3.620, 2θ 24.59, intensity 27
- d 4.024, 2θ 22.09, intensity 23
- d 3.854, 2θ 23.07, intensity 21
- d 4.722, 2θ 18.79, intensity 17
- d 2.872, 2θ 31.14, intensity 15
- d 2.809, 2θ 31.86, intensity 14
- d 2.177, 2θ 41.48, intensity 14
- d 2.569, 2θ 34.93, intensity 14

4.
This entry pairs a crystal structure of BeReB with its simulated powder diffractogram. Radiation: Cu Kα (weighted mean of Kα1 and Kα2). Structure: a structure optimized by DFT (PBE).

Atomic structure:
abc: 3.6578 3.6578 3.6578
angles: 60.00 60.00 60.00
Sites, in units of the cell vectors:
1 Be 0.0000 0.0000 0.0000
2 Re 0.7500 0.7500 0.7500
3 B 0.5000 0.5000 0.5000

Most intense lines, 2θ from 5° to 70°, by intensity:
- d 2.987, 2θ 29.92, intensity 100
- d 1.560, 2θ 59.24, intensity 44
- d 2.586, 2θ 34.68, intensity 43
- d 1.829, 2θ 49.86, intensity 42
- d 1.493, 2θ 62.16, intensity 11

5.
This entry pairs a crystal structure of U4Be51B with its simulated powder diffractogram. Radiation: Cu Kα (weighted mean of Kα1 and Kα2). Structure: a structure optimized by DFT (PBE).

Atomic structure:
abc: 12.4225 12.4225 12.4225
angles: 33.55 33.55 33.55
Sites, in units of the cell vectors:
1 U 0.1247 0.1247 0.1247
2 U 0.3748 0.3748 0.3748
3 U 0.6252 0.6252 0.6252
4 U 0.8753 0.8753 0.8753
5 Be 0.0120 0.4274 0.7801
6 Be 0.0294 0.6848 0.2562
7 Be 0.0440 0.3963 0.1642
8 Be 0.0713 0.7196 0.4892
9 Be 0.0832 0.8573 0.2025
10 Be 0.1042 0.3348 0.4572
11 Be 0.1427 0.7975 0.9168
12 Be 0.1642 0.0440 0.3963
13 Be 0.1781 0.7612 0.5304
14 Be 0.2025 0.0832 0.8573
15 Be 0.2199 0.9880 0.5726
16 Be 0.2388 0.4696 0.8219
17 Be 0.2502 0.2502 0.2502
18 Be 0.2562 0.0294 0.6848
19 Be 0.2804 0.5108 0.9287
20 Be 0.2941 0.4144 0.6458
21 Be 0.3152 0.7438 0.9706
22 Be 0.3348 0.4572 0.1042
23 Be 0.3542 0.7059 0.5856
24 Be 0.3963 0.1642 0.0440
25 Be 0.4144 0.6458 0.2941
26 Be 0.4274 0.7801 0.0120
27 Be 0.4572 0.1042 0.3348
28 Be 0.4696 0.8219 0.2388
29 Be 0.4892 0.0713 0.7196
30 Be 0.5000 0.5000 0.5000
31 Be 0.5108 0.9287 0.2804
32 Be 0.5304 0.1781 0.7612
33 Be 0.5428 0.8958 0.6652
34 Be 0.5726 0.2199 0.9880
35 Be 0.5856 0.3542 0.7059
36 Be 0.6037 0.8358 0.9560
37 Be 0.6458 0.2941 0.4144
38 Be 0.6652 0.5428 0.8958
39 Be 0.6848 0.2562 0.0294
40 Be 0.7059 0.5856 0.3542
41 Be 0.7196 0.4892 0.0713
42 Be 0.7438 0.9706 0.3152
43 Be 0.7498 0.7498 0.7498
44 Be 0.7612 0.5304 0.1781
45 Be 0.7801 0.0120 0.4274
46 Be 0.7975 0.9168 0.1427
47 Be 0.8219 0.2388 0.4696
48 Be 0.8358 0.9560 0.6037
49 Be 0.8573 0.2025 0.0832
50 Be 0.8958 0.6652 0.5428
51 Be 0.9168 0.1427 0.7975
52 Be 0.9287 0.2804 0.5108
53 Be 0.9560 0.6037 0.8358
54 Be 0.9706 0.3152 0.7438
55 Be 0.9880 0.5725 0.2199
56 B 0.0000 0.0000 0.0000

Most intense lines, 2θ from 5° to 70°, by intensity:
- d 3.585, 2θ 24.83, intensity 100
- d 5.070, 2θ 17.49, intensity 94
- d 2.268, 2θ 39.75, intensity 69
- d 2.070, 2θ 43.73, intensity 57
- d 2.927, 2θ 30.54, intensity 42
- d 1.355, 2θ 69.35, intensity 28
- d 1.690, 2θ 54.27, intensity 26
- d 1.603, 2θ 57.48, intensity 25
- d 2.535, 2θ 35.41, intensity 22
- d 1.529, 2θ 60.57, intensity 17